Starting from a PBE-relaxed structure, the X-ray diffraction stick pattern of PuMn3 was computed for CuKα.
No peak broadening, texture or thermal motion is included.

Peak list (10 most intense, 10 to 90 degrees two-theta, low angle first)
- 2θ = 19.61°, intensity 25.7
- 2θ = 28.84°, intensity 67.3
- 2θ = 34.31°, intensity 28.6
- 2θ = 39.82°, intensity 24.4
- 2θ = 42.62°, intensity 26.8
- 2θ = 45.41°, intensity 100.0
- 2θ = 55.81°, intensity 15.5
- 2θ = 58.13°, intensity 20.0
- 2θ = 59.74°, intensity 14.5
- 2θ = 79.99°, intensity 18.4

Structural model:
```
PuMn3
1.0
4.243 0.000 0.000
0.000 5.233 0.000
0.000 0.000 9.046
Pu Mn
4 12
direct
0.000 0.000 0.000
0.000 0.500 0.500
0.500 0.000 0.333
0.500 0.500 0.833
0.000 0.000 0.502
0.000 0.246 0.749
0.000 0.254 0.249
0.000 0.500 0.002
0.000 0.746 0.249
0.000 0.754 0.749
0.500 0.000 0.832
0.500 0.248 0.585
0.500 0.252 0.085
0.500 0.500 0.332
0.500 0.748 0.085
0.500 0.752 0.585
```

=====

Starting from a PBE-relaxed structure, the X-ray diffraction stick pattern of TbAg3 was computed for CuKα.
No peak broadening, texture or thermal motion is included.

Peak list (10 most intense, 10 to 90 degrees two-theta, low angle first)
- 2θ = 24.38°, intensity 4.6
- 2θ = 32.69°, intensity 24.5
- 2θ = 36.71°, intensity 24.3
- 2θ = 37.62°, intensity 100.0
- 2θ = 49.96°, intensity 14.6
- 2θ = 58.34°, intensity 18.7
- 2θ = 66.71°, intensity 17.6
- 2θ = 70.94°, intensity 18.7
- 2θ = 71.52°, intensity 13.4
- 2θ = 80.32°, intensity 3.5

Structural model:
```
TbAg3
1.0
6.327 0.000 0.000
-3.163 5.479 0.000
0.000 0.000 4.897
Tb Ag
2 6
direct
0.333 0.667 0.250
0.667 0.333 0.750
0.157 0.314 0.750
0.157 0.843 0.750
0.314 0.157 0.250
0.686 0.843 0.750
0.843 0.157 0.250
0.843 0.686 0.250
```

=====

Starting from a PBE-relaxed structure, the X-ray diffraction stick pattern of NaPr9Ge6O26 was computed for CuKα.
No peak broadening, texture or thermal motion is included.

Peak list (10 most intense, 10 to 90 degrees two-theta, low angle first)
- 2θ = 24.57°, intensity 20.4
- 2θ = 26.71°, intensity 21.7
- 2θ = 27.50°, intensity 26.0
- 2θ = 30.19°, intensity 100.0
- 2θ = 30.57°, intensity 45.1
- 2θ = 31.27°, intensity 27.5
- 2θ = 44.30°, intensity 24.1
- 2θ = 46.90°, intensity 33.3
- 2θ = 48.63°, intensity 14.9
- 2θ = 49.37°, intensity 17.8

Structural model:
```
NaPr9Ge6O26
1.0
9.908 0.000 0.000
-4.954 8.580 0.000
0.000 0.000 7.247
Na Pr Ge O
1 9 6 26
direct
0.000 0.000 0.000
0.000 0.000 0.492
0.096 0.436 0.744
0.100 0.674 0.242
0.326 0.427 0.242
0.340 0.904 0.744
0.564 0.660 0.744
0.573 0.900 0.242
0.667 0.333 0.493
0.667 0.333 0.993
0.303 0.264 0.744
0.359 0.065 0.244
0.706 0.641 0.244
0.736 0.039 0.744
0.935 0.294 0.244
0.961 0.697 0.744
0.029 0.185 0.250
0.088 0.762 0.549
0.095 0.749 0.929
0.156 0.971 0.250
0.206 0.060 0.732
0.238 0.326 0.549
0.251 0.346 0.929
0.333 0.667 0.242
0.333 0.667 0.734
0.434 0.015 0.049
0.438 0.015 0.436
0.465 0.273 0.242
0.509 0.349 0.743
0.577 0.562 0.436
0.581 0.566 0.049
0.651 0.160 0.743
0.654 0.905 0.929
0.674 0.912 0.549
0.727 0.192 0.242
0.808 0.535 0.242
0.815 0.844 0.250
0.840 0.491 0.743
0.854 0.794 0.732
0.940 0.146 0.732
0.985 0.419 0.049
0.985 0.423 0.436
```

=====

Starting from a PBE-relaxed structure, the X-ray diffraction stick pattern of VFe2Se4 was computed for CuKα.
No peak broadening, texture or thermal motion is included.

Peak list (10 most intense, 10 to 90 degrees two-theta, low angle first)
- 2θ = 32.29°, intensity 32.2
- 2θ = 32.59°, intensity 55.5
- 2θ = 33.33°, intensity 100.0
- 2θ = 33.47°, intensity 37.9
- 2θ = 43.51°, intensity 48.4
- 2θ = 43.75°, intensity 52.8
- 2θ = 50.67°, intensity 51.0
- 2θ = 52.66°, intensity 29.5
- 2θ = 57.54°, intensity 16.4
- 2θ = 63.32°, intensity 16.6

Structural model:
```
VFe2Se4
1.0
12.921 0.000 0.000
0.000 3.476 0.000
-3.034 0.000 5.544
V Fe Se
2 4 8
direct
0.000 0.000 0.000
0.500 0.500 0.000
0.250 0.000 0.304
0.250 0.500 0.696
0.750 0.000 0.696
0.750 0.500 0.304
0.112 0.000 0.456
0.139 0.500 0.981
0.361 0.000 0.019
0.388 0.500 0.544
0.612 0.500 0.456
0.639 0.000 0.981
0.861 0.500 0.019
0.888 0.000 0.544
```

=====

Starting from a PBE-relaxed structure, the X-ray diffraction stick pattern of BaNaSnBiO6 was computed for CuKα.
No peak broadening, texture or thermal motion is included.

Peak list (10 most intense, 10 to 90 degrees two-theta, low angle first)
- 2θ = 18.28°, intensity 19.9
- 2θ = 21.14°, intensity 24.7
- 2θ = 30.07°, intensity 100.0
- 2θ = 35.42°, intensity 12.1
- 2θ = 43.04°, intensity 31.3
- 2θ = 48.43°, intensity 11.5
- 2θ = 53.40°, intensity 41.9
- 2θ = 62.51°, intensity 19.9
- 2θ = 70.91°, intensity 18.7
- 2θ = 86.68°, intensity 23.2

Structural model:
```
BaNaSnBiO6
1.0
0.000 4.203 4.203
4.203 0.000 4.203
4.203 4.203 0.000
Ba Na Sn Bi O
1 1 1 1 6
direct
0.000 0.000 0.000
0.500 0.500 0.500
0.250 0.250 0.250
0.750 0.750 0.750
0.003 0.003 0.497
0.003 0.497 0.003
0.003 0.497 0.497
0.497 0.003 0.003
0.497 0.003 0.497
0.497 0.497 0.003
```

=====

Starting from a PBE-relaxed structure, the X-ray diffraction stick pattern of RbInBr4 was computed for CuKα.
No peak broadening, texture or thermal motion is included.

Peak list (10 most intense, 10 to 90 degrees two-theta, low angle first)
- 2θ = 21.04°, intensity 100.0
- 2θ = 22.93°, intensity 32.6
- 2θ = 24.33°, intensity 34.1
- 2θ = 27.90°, intensity 31.7
- 2θ = 28.16°, intensity 53.5
- 2θ = 31.30°, intensity 30.1
- 2θ = 33.66°, intensity 47.1
- 2θ = 36.65°, intensity 29.4
- 2θ = 41.14°, intensity 27.5
- 2θ = 46.83°, intensity 34.4

Structural model:
```
RbInBr4
1.0
8.299 0.000 0.000
0.000 10.953 0.000
0.000 0.000 10.984
Rb In Br
4 4 16
direct
0.181 0.250 0.250
0.319 0.750 0.250
0.681 0.250 0.750
0.819 0.750 0.750
0.250 0.000 0.679
0.250 0.500 0.821
0.750 0.000 0.321
0.750 0.500 0.179
0.008 0.043 0.817
0.008 0.457 0.683
0.157 0.682 0.948
0.157 0.818 0.552
0.343 0.182 0.552
0.343 0.318 0.948
0.492 0.543 0.683
0.492 0.957 0.817
0.508 0.043 0.183
0.508 0.457 0.317
0.657 0.682 0.052
0.657 0.818 0.448
0.843 0.182 0.448
0.843 0.318 0.052
0.992 0.543 0.317
0.992 0.957 0.183
```

=====

Starting from a PBE-relaxed structure, the X-ray diffraction stick pattern of Ba3P2 was computed for CuKα.
No peak broadening, texture or thermal motion is included.

Peak list (10 most intense, 10 to 90 degrees two-theta, low angle first)
- 2θ = 21.99°, intensity 44.1
- 2θ = 25.45°, intensity 35.2
- 2θ = 28.51°, intensity 100.0
- 2θ = 33.88°, intensity 64.4
- 2θ = 44.85°, intensity 23.6
- 2θ = 46.79°, intensity 48.5
- 2θ = 57.37°, intensity 19.4
- 2θ = 60.62°, intensity 16.0
- 2θ = 69.82°, intensity 11.3
- 2θ = 84.10°, intensity 11.3

Structural model:
```
Ba3P2
1.0
-4.952 4.952 14.838
4.952 -4.952 14.838
4.952 4.952 -14.838
Ba P
24 16
direct
0.074 0.449 0.243
0.169 0.926 0.375
0.185 0.436 0.583
0.186 0.435 0.083
0.199 0.324 0.743
0.206 0.831 0.757
0.254 0.122 0.248
0.353 0.103 0.917
0.397 0.815 0.251
0.496 0.244 0.368
0.544 0.801 0.125
0.551 0.794 0.625
0.564 0.147 0.749
0.565 0.647 0.751
0.581 0.456 0.257
0.676 0.419 0.875
0.756 0.124 0.252
0.853 0.603 0.417
0.872 0.504 0.748
0.874 0.006 0.752
0.876 0.128 0.632
0.878 0.126 0.132
0.897 0.814 0.249
0.994 0.746 0.868
0.049 0.150 0.623
0.165 0.165 0.000
0.176 0.777 0.877
0.223 0.100 0.399
0.254 0.625 0.129
0.375 0.504 0.629
0.496 0.125 0.871
0.527 0.426 0.377
0.574 0.951 0.101
0.585 0.085 0.500
0.701 0.824 0.601
0.835 0.835 0.000
0.850 0.473 0.899
0.875 0.746 0.371
0.900 0.299 0.123
0.915 0.415 0.500
```